Simulated powder diffractogram of SrCdSO for Cu Kα (weighted mean of Kα1 and Kα2), from a structure optimized by DFT (PBE).
Intensities are scaled so that the largest is 100.

Cell and atoms:
a b c (Å): 7.474 7.474 6.143
angles (deg): 90.00 90.00 148.72
Fractional coordinates of all 8 atoms:
Sr1 0.160 0.840 0.500
Sr2 0.840 0.160 0.000
Cd1 0.433 0.567 0.573
Cd2 0.567 0.433 0.073
S1 0.174 0.826 0.992
S2 0.826 0.174 0.492
O1 0.429 0.571 0.940
O2 0.571 0.429 0.440

Principal peaks in the range 2θ = 15–90°, low angle first:
d [Å], intensity
3.281, 64
3.105, 74
3.086, 100
3.071, 92
2.757, 72
2.177, 61
2.015, 36
1.832, 33


Simulated powder diffractogram of Sr2CdSO6 for Cu Kα (weighted mean of Kα1 and Kα2), from a structure optimized by DFT (PBE).
Intensities are scaled so that the largest is 100.

Cell and atoms:
a b c (Å): 5.550 5.550 5.550
angles (deg): 121.02 121.02 88.25
Fractional coordinates of all 10 atoms:
Sr1 0.250 0.750 0.500
Sr2 0.750 0.250 0.500
Cd1 0.000 0.000 0.000
S1 0.500 0.500 0.000
O1 0.241 0.330 0.571
O2 0.286 0.286 0.000
O3 0.330 0.759 0.088
O4 0.670 0.241 0.912
O5 0.714 0.714 0.000
O6 0.759 0.670 0.429

Principal peaks in the range 2θ = 15–90°, low angle first:
d [Å], intensity
2.774, 100
2.733, 53
2.337, 13
1.992, 18
1.932, 30
1.610, 19
1.585, 38
1.387, 18


Simulated powder diffractogram of ZnCdSO for Cu Kα (weighted mean of Kα1 and Kα2), from a structure optimized by DFT (PBE).
Intensities are scaled so that the largest is 100.

Cell and atoms:
a b c (Å): 6.124 6.639 7.303
angles (deg): 90.00 90.00 90.00
Fractional coordinates of all 16 atoms:
Zn1 0.082 0.223 0.109
Zn2 0.418 0.777 0.609
Zn3 0.582 0.277 0.891
Zn4 0.918 0.723 0.391
Cd1 0.029 0.360 0.654
Cd2 0.471 0.640 0.154
Cd3 0.529 0.140 0.346
Cd4 0.971 0.860 0.846
S1 0.134 0.868 0.168
S2 0.366 0.132 0.668
S3 0.634 0.632 0.832
S4 0.866 0.368 0.332
O1 0.111 0.689 0.611
O2 0.389 0.311 0.111
O3 0.611 0.811 0.389
O4 0.889 0.189 0.889

Principal peaks in the range 2θ = 15–90°, low angle first:
d [Å], intensity
3.832, 60
3.319, 32
3.136, 38
3.062, 47
2.918, 44
2.836, 100
2.151, 35
2.141, 32


Simulated powder diffractogram of ZnCdSO for Cu Kα (weighted mean of Kα1 and Kα2), from a structure optimized by DFT (PBE).
Intensities are scaled so that the largest is 100.

Cell and atoms:
a b c (Å): 4.608 4.608 6.823
angles (deg): 90.00 90.00 90.00
Fractional coordinates of all 8 atoms:
Zn1 0.250 0.250 0.128
Zn2 0.750 0.750 0.872
Cd1 0.250 0.250 0.693
Cd2 0.750 0.750 0.307
S1 0.250 0.750 0.000
S2 0.750 0.250 0.000
O1 0.250 0.250 0.397
O2 0.750 0.750 0.603

Principal peaks in the range 2θ = 15–90°, low angle first:
d [Å], intensity
3.819, 21
3.258, 100
2.742, 75
2.356, 39
2.304, 73
2.039, 24
1.764, 40
1.629, 23


Simulated powder diffractogram of Cd2Sb2O7 for Cu Kα (weighted mean of Kα1 and Kα2), from a structure optimized by DFT (PBE).
Intensities are scaled so that the largest is 100.

Cell and atoms:
a b c (Å): 7.287 7.287 7.287
angles (deg): 120.23 90.65 119.02
Fractional coordinates of all 22 atoms:
Cd1 0.000 0.000 0.000
Cd2 0.500 0.000 0.000
Cd3 0.500 0.000 0.500
Cd4 0.500 0.500 0.500
Sb1 0.000 0.000 0.500
Sb2 0.000 0.500 0.000
Sb3 0.000 0.500 0.500
Sb4 0.500 0.500 0.000
O1 0.056 0.230 0.410
O2 0.056 0.646 0.826
O3 0.101 0.851 0.250
O4 0.321 0.230 0.674
O5 0.321 0.646 0.090
O6 0.335 0.737 0.598
O7 0.360 0.263 0.098
O8 0.640 0.737 0.902
O9 0.665 0.263 0.402
O10 0.679 0.354 0.910
O11 0.679 0.770 0.326
O12 0.899 0.149 0.750
O13 0.944 0.354 0.174
O14 0.944 0.770 0.590

Principal peaks in the range 2θ = 15–90°, low angle first:
d [Å], intensity
2.998, 100
2.963, 93
2.591, 47
2.562, 23
1.822, 57
1.568, 30
1.553, 27
1.179, 17


Simulated powder diffractogram of Cd2Sb2O7 for Cu Kα (weighted mean of Kα1 and Kα2), from a structure optimized by DFT (PBE).
Intensities are scaled so that the largest is 100.

Cell and atoms:
a b c (Å): 7.299 7.299 7.299
angles (deg): 60.00 60.00 60.00
Fractional coordinates of all 22 atoms:
Cd1 0.000 0.000 0.000
Cd2 0.000 0.000 0.500
Cd3 0.000 0.500 0.000
Cd4 0.500 0.000 0.000
Sb1 0.000 0.500 0.500
Sb2 0.500 0.000 0.500
Sb3 0.500 0.500 0.000
Sb4 0.500 0.500 0.500
O1 0.125 0.125 0.125
O2 0.175 0.175 0.575
O3 0.175 0.575 0.175
O4 0.175 0.575 0.575
O5 0.425 0.425 0.825
O6 0.425 0.825 0.425
O7 0.425 0.825 0.825
O8 0.575 0.175 0.175
O9 0.575 0.175 0.575
O10 0.575 0.575 0.175
O11 0.825 0.425 0.425
O12 0.825 0.425 0.825
O13 0.825 0.825 0.425
O14 0.875 0.875 0.875

Principal peaks in the range 2θ = 15–90°, low angle first:
d [Å], intensity
2.980, 100
2.581, 32
1.825, 45
1.556, 41
1.490, 10
1.290, 6
1.184, 17
1.154, 14